The following is a calculated X-ray powder pattern of GaAsS4. It was derived from a DFT-relaxed cell (PBE, Alexandria), using λ = 1.5418 Å (Cu Kα).
Neutral-atom scattering factors, no anomalous dispersion.

Structure:
```
GaAsS4
1.0
7.2878 -1.7025 0.0000
7.2878 1.7025 0.0000
-2.4879 0.0000 5.4995
Ga As S
1 1 4
Direct
0.0000 0.0000 0.0000 Ga
0.5000 0.5000 0.5000 As
0.1084 0.1084 0.4461 S
0.3951 0.3951 0.0703 S
0.6049 0.6049 0.9297 S
0.8916 0.8916 0.5539 S
```

Largest 10 diffraction maxima, in order of rising 2θ, 2θ = 10–90°:
13.3 deg, intensity 100.0; 32.6 deg, intensity 20.7; 33.1 deg, intensity 40.8; 40.4 deg, intensity 17.5; 40.8 deg, intensity 33.8; 51.2 deg, intensity 6.9; 51.5 deg, intensity 15.6; 52.9 deg, intensity 12.6; 54.8 deg, intensity 9.7; 64.3 deg, intensity 8.9



The following is a calculated X-ray powder pattern of Dy12Tl5Ag2. It was derived from a DFT-relaxed cell (PBE, Alexandria), using λ = 1.5418 Å (Cu Kα).
Neutral-atom scattering factors, no anomalous dispersion.

Structure:
```
Dy12Tl5Ag2
1.0
8.5495 -3.6233 0.0000
8.5495 3.6233 0.0000
-1.0128 0.0000 8.9940
Dy Tl Ag
12 5 2
Direct
0.0037 0.0037 0.1931 Dy
0.0942 0.6070 0.9906 Dy
0.0995 0.5833 0.5796 Dy
0.3930 0.9058 0.0094 Dy
0.4167 0.9005 0.4204 Dy
0.4584 0.4584 0.3140 Dy
0.5416 0.5416 0.6860 Dy
0.5833 0.0995 0.5796 Dy
0.6070 0.0942 0.9906 Dy
0.9005 0.4167 0.4204 Dy
0.9058 0.3930 0.0094 Dy
0.9963 0.9963 0.8069 Dy
0.1992 0.1992 0.7355 Tl
0.2712 0.2712 0.2483 Tl
0.5000 0.5000 0.0000 Tl
0.7288 0.7288 0.7517 Tl
0.8008 0.8008 0.2645 Tl
0.1820 0.8180 0.5000 Ag
0.8180 0.1820 0.5000 Ag
```

Largest 10 diffraction maxima, in order of rising 2θ, 2θ = 10–90°:
29.0 deg, intensity 35.8; 30.5 deg, intensity 38.5; 31.6 deg, intensity 46.2; 31.7 deg, intensity 100.0; 32.5 deg, intensity 73.8; 32.7 deg, intensity 47.3; 33.3 deg, intensity 33.9; 34.6 deg, intensity 34.8; 42.6 deg, intensity 26.4; 50.4 deg, intensity 23.9



The following is a calculated X-ray powder pattern of Na5Ga2Ge4. It was derived from a DFT-relaxed cell (PBE, Alexandria), using λ = 1.5418 Å (Cu Kα).
Neutral-atom scattering factors, no anomalous dispersion.

Structure:
```
Na5Ga2Ge4
1.0
-1.7678 4.1627 9.6786
1.7678 -4.1627 9.6786
1.7678 4.1627 -9.6786
Na Ga Ge
5 2 4
Direct
0.0000 0.0000 0.0000 Na
0.0649 0.3428 0.7221 Na
0.3793 0.6572 0.7221 Na
0.6207 0.3428 0.2779 Na
0.9351 0.6572 0.2779 Na
0.2802 0.7802 0.5000 Ga
0.7198 0.2198 0.5000 Ga
0.3319 0.5000 0.8319 Ge
0.4186 0.9186 0.5000 Ge
0.5814 0.0814 0.5000 Ge
0.6681 0.5000 0.1681 Ge
```

Largest 10 diffraction maxima, in order of rising 2θ, 2θ = 10–90°:
11.6 deg, intensity 100.0; 27.4 deg, intensity 15.8; 28.9 deg, intensity 15.8; 33.6 deg, intensity 38.9; 34.2 deg, intensity 11.3; 35.2 deg, intensity 37.1; 39.3 deg, intensity 22.3; 41.4 deg, intensity 41.6; 46.4 deg, intensity 13.7; 64.1 deg, intensity 12.1



The following is a calculated X-ray powder pattern of YBe2Pt3. It was derived from a DFT-relaxed cell (PBE, Alexandria), using λ = 1.5418 Å (Cu Kα).
Neutral-atom scattering factors, no anomalous dispersion.

Structure:
```
YBe2Pt3
1.0
9.1105 0.0000 0.0000
-4.5552 7.8899 0.0000
0.0000 0.0000 3.8698
Y Be Pt
3 6 9
Direct
0.0000 0.0000 0.0000 Y
0.3333 0.6667 0.5000 Y
0.6667 0.3333 0.5000 Y
0.1823 0.3646 0.0000 Be
0.1823 0.8177 0.0000 Be
0.3646 0.1823 0.0000 Be
0.6354 0.8177 0.0000 Be
0.8177 0.1823 0.0000 Be
0.8177 0.6354 0.0000 Be
0.0000 0.2920 0.5000 Pt
0.0000 0.5000 0.0000 Pt
0.0000 0.7080 0.5000 Pt
0.2920 0.0000 0.5000 Pt
0.2920 0.2920 0.5000 Pt
0.5000 0.0000 0.0000 Pt
0.5000 0.5000 0.0000 Pt
0.7080 0.0000 0.5000 Pt
0.7080 0.7080 0.5000 Pt
```

Largest 10 diffraction maxima, in order of rising 2θ, 2θ = 10–90°:
19.5 deg, intensity 34.9; 32.4 deg, intensity 100.0; 34.1 deg, intensity 41.9; 41.5 deg, intensity 74.0; 46.0 deg, intensity 32.4; 46.3 deg, intensity 35.8; 47.0 deg, intensity 23.9; 59.3 deg, intensity 17.2; 67.3 deg, intensity 18.4; 67.9 deg, intensity 20.6



The following is a calculated X-ray powder pattern of Nd4PPdCl2. It was derived from a DFT-relaxed cell (PBE, Alexandria), using λ = 1.5418 Å (Cu Kα).
Neutral-atom scattering factors, no anomalous dispersion.

Structure:
```
Nd4PPdCl2
1.0
7.2206 0.0000 0.0000
0.0000 4.0671 0.0000
-2.3057 0.0000 7.0922
Nd P Pd Cl
4 1 1 2
Direct
0.2259 0.0000 0.2422 Nd
0.2287 0.5000 0.7319 Nd
0.7713 0.5000 0.2681 Nd
0.7741 0.0000 0.7578 Nd
0.0000 0.0000 0.5000 P
0.0000 0.5000 0.0000 Pd
0.5000 0.0000 0.0000 Cl
0.5000 0.5000 0.5000 Cl
```

Largest 10 diffraction maxima, in order of rising 2θ, 2θ = 10–90°:
12.9 deg, intensity 8.9; 25.1 deg, intensity 11.8; 26.0 deg, intensity 9.2; 26.6 deg, intensity 19.7; 30.2 deg, intensity 100.0; 41.9 deg, intensity 11.9; 42.6 deg, intensity 25.8; 43.7 deg, intensity 22.3; 44.6 deg, intensity 11.5; 54.7 deg, intensity 12.3